Starting from the PBE geometry in Alexandria, the powder diffraction line list of YAl4CoCu2 was computed for Cu Ka.
No peak broadening, texture or thermal motion is included.

Most intense lines, 2θ from 5° to 70°, by angle:
10.12 deg, 8.738 Å, I = 19; 28.49 deg, 3.133 Å, I = 77; 30.30 deg, 2.949 Å, I = 27; 37.26 deg, 2.413 Å, I = 90; 41.33 deg, 2.184 Å, I = 11; 43.96 deg, 2.060 Å, I = 100; 45.79 deg, 1.982 Å, I = 22; 53.22 deg, 1.721 Å, I = 13; 58.96 deg, 1.567 Å, I = 22; 61.92 deg, 1.499 Å, I = 18

Cell and atoms:
Cell lengths 4.1193, 4.1193, 26.2134 Å; angles 90.00, 90.00, 120.00 degrees
Space group R-3m (No. 166, hexagonal axes)
One atom of each set of equivalent atoms:
Y 0.0000 0.0000 0.0000
Al 0.0000 0.0000 0.1348
Al 0.0000 0.0000 0.4070
Co 0.0000 0.0000 0.5000
Cu 0.0000 0.0000 0.2344


Starting from the PBE geometry in Alexandria, the powder diffraction line list of DyAl2Co9 was computed for Cu Ka.
No peak broadening, texture or thermal motion is included.

Most intense lines, 2θ from 5° to 70°, by angle:
24.59 deg, 3.620 Å, I = 30; 29.24 deg, 3.054 Å, I = 14; 35.27 deg, 2.544 Å, I = 18; 36.95 deg, 2.433 Å, I = 37; 40.32 deg, 2.237 Å, I = 100; 44.72 deg, 2.026 Å, I = 40; 45.00 deg, 2.015 Å, I = 23; 46.20 deg, 1.965 Å, I = 47; 46.54 deg, 1.952 Å, I = 43; 50.72 deg, 1.800 Å, I = 33

Cell and atoms:
Cell lengths 8.046, 8.046, 4.691 Å; angles 90.00, 90.00, 90.00 degrees
Space group P4/mbm (No. 127)
One atom of each set of equivalent atoms:
Dy 0.000 0.000 0.000
Al 0.121 0.379 0.000
Co 0.000 0.500 0.500
Co 0.068 0.210 0.500
Co 0.176 0.676 0.235


Starting from the PBE geometry in Alexandria, the powder diffraction line list of DyAl9Co2 was computed for Cu Ka.
No peak broadening, texture or thermal motion is included.

Most intense lines, 2θ from 5° to 70°, by angle:
16.75 deg, 5.292 Å, I = 32; 22.96 deg, 3.874 Å, I = 100; 29.05 deg, 3.074 Å, I = 37; 33.29 deg, 2.691 Å, I = 75; 33.88 deg, 2.646 Å, I = 28; 37.88 deg, 2.375 Å, I = 100; 38.02 deg, 2.367 Å, I = 58; 41.05 deg, 2.199 Å, I = 37; 46.91 deg, 1.937 Å, I = 28; 60.22 deg, 1.537 Å, I = 26

Cell and atoms:
Cell lengths 10.584, 10.584, 6.743 Å; angles 90.00, 90.00, 90.00 degrees
Space group I4_1/amd (No. 141, origin choice 2)
One atom of each set of equivalent atoms:
Dy 0.000 0.250 0.375
Al 0.000 0.250 0.875
Al 0.122 0.054 0.688
Co 0.000 0.000 0.000


Starting from the PBE geometry in Alexandria, the powder diffraction line list of Dy3Al9Co2 was computed for Cu Ka.
No peak broadening, texture or thermal motion is included.

Most intense lines, 2θ from 5° to 70°, by angle:
18.36 deg, 4.832 Å, I = 36; 22.76 deg, 3.907 Å, I = 80; 23.87 deg, 3.728 Å, I = 35; 30.45 deg, 2.936 Å, I = 28; 34.90 deg, 2.571 Å, I = 54; 35.64 deg, 2.519 Å, I = 47; 35.79 deg, 2.509 Å, I = 100; 37.56 deg, 2.395 Å, I = 33; 42.31 deg, 2.136 Å, I = 33; 56.49 deg, 1.629 Å, I = 25

Cell and atoms:
Cell lengths 4.272, 9.664, 12.121 Å; angles 90.00, 90.00, 90.00 degrees
Space group Immm (No. 71)
One atom of each set of equivalent atoms:
Dy 0.000 0.000 0.000
Dy 0.000 0.000 0.301
Al 0.000 0.284 0.125
Al 0.000 0.360 0.352
Al 0.000 0.500 0.000
Co 0.000 0.179 0.500


Starting from the PBE geometry in Alexandria, the powder diffraction line list of Er3Al5Co2 was computed for Cu Ka.
No peak broadening, texture or thermal motion is included.

Most intense lines, 2θ from 5° to 70°, by angle:
21.83 deg, 4.071 Å, I = 67; 26.65 deg, 3.345 Å, I = 21; 29.86 deg, 2.992 Å, I = 54; 30.47 deg, 2.934 Å, I = 36; 34.71 deg, 2.584 Å, I = 38; 37.30 deg, 2.411 Å, I = 100; 39.26 deg, 2.295 Å, I = 34; 44.52 deg, 2.035 Å, I = 25; 45.37 deg, 1.999 Å, I = 19; 54.53 deg, 1.683 Å, I = 20

Cell and atoms:
Cell lengths 9.462, 9.462, 4.071 Å; angles 90.00, 90.00, 90.00 degrees
Space group P4/mbm (No. 127)
One atom of each set of equivalent atoms:
Er 0.000 0.000 0.000
Er 0.176 0.324 0.000
Al 0.000 0.500 0.500
Al 0.069 0.774 0.500
Co 0.116 0.616 0.000


Starting from the PBE geometry in Alexandria, the powder diffraction line list of ErAlCoSi2 was computed for Cu Ka.
No peak broadening, texture or thermal motion is included.

Most intense lines, 2θ from 5° to 70°, by angle:
16.45 deg, 5.387 Å, I = 22; 23.20 deg, 3.835 Å, I = 53; 28.57 deg, 3.124 Å, I = 74; 33.27 deg, 2.693 Å, I = 49; 36.89 deg, 2.436 Å, I = 50; 37.35 deg, 2.408 Å, I = 41; 40.95 deg, 2.204 Å, I = 100; 47.42 deg, 1.917 Å, I = 39; 56.61 deg, 1.626 Å, I = 26; 64.70 deg, 1.441 Å, I = 26

Cell and atoms:
Cell lengths 5.384, 5.387, 5.463 Å; angles 90.00, 90.00, 90.00 degrees
Space group Pmma (No. 51)
One atom of each set of equivalent atoms:
Er 0.250 0.000 0.231
Al 0.250 0.500 0.366
Co 0.000 0.500 0.000
Si 0.250 0.236 0.747


Starting from the PBE geometry in Alexandria, the powder diffraction line list of ErTh2Al12Co3 was computed for Cu Ka.
No peak broadening, texture or thermal motion is included.

Most intense lines, 2θ from 5° to 70°, by angle:
15.45 deg, 5.734 Å, I = 57; 21.11 deg, 4.209 Å, I = 100; 24.89 deg, 3.577 Å, I = 55; 26.27 deg, 3.393 Å, I = 59; 26.94 deg, 3.310 Å, I = 55; 33.94 deg, 2.641 Å, I = 64; 36.02 deg, 2.493 Å, I = 90; 40.78 deg, 2.213 Å, I = 45; 42.98 deg, 2.104 Å, I = 53; 47.58 deg, 1.911 Å, I = 39

Cell and atoms:
Cell lengths 8.4175, 8.4175, 18.5735 Å; angles 90.00, 90.00, 120.00 degrees
Space group R-3m (No. 166, hexagonal axes)
One atom of each set of equivalent atoms:
Er 0.0000 0.0000 0.0000
Th 0.0000 0.0000 0.4187
Al 0.0782 0.5391 0.8175
Al 0.0882 0.5441 0.3818
Co 0.0000 0.5000 0.5000


Starting from the PBE geometry in Alexandria, the powder diffraction line list of Al3FeCo3 was computed for Cu Ka.
No peak broadening, texture or thermal motion is included.

Most intense lines, 2θ from 5° to 70°, by angle:
22.18 deg, 4.008 Å, I = 58; 22.34 deg, 3.979 Å, I = 6; 31.69 deg, 2.824 Å, I = 6; 39.12 deg, 2.302 Å, I = 27; 45.25 deg, 2.004 Å, I = 100; 45.60 deg, 1.989 Å, I = 98; 51.27 deg, 1.782 Å, I = 11; 61.05 deg, 1.518 Å, I = 6; 61.62 deg, 1.505 Å, I = 7; 66.19 deg, 1.412 Å, I = 30

Cell and atoms:
Cell lengths 7.9576, 7.9576, 4.9262 Å; angles 90.00, 90.00, 120.00 degrees
Space group R-3m (No. 166, hexagonal axes)
One atom of each set of equivalent atoms:
Al 0.0000 0.5000 0.0000
Fe 0.0000 0.0000 0.0000
Co 0.0000 0.5000 0.5000


Starting from the PBE geometry in Alexandria, the powder diffraction line list of AlFe6Co2 was computed for Cu Ka.
No peak broadening, texture or thermal motion is included.

Most intense lines, 2θ from 5° to 70°, by angle:
11.60 deg, 7.627 Å, I = 69; 17.79 deg, 4.986 Å, I = 40; 41.63 deg, 2.169 Å, I = 100; 43.63 deg, 2.075 Å, I = 92; 44.50 deg, 2.036 Å, I = 68; 45.01 deg, 2.014 Å, I = 25; 47.82 deg, 1.902 Å, I = 84; 47.99 deg, 1.896 Å, I = 55; 49.81 deg, 1.831 Å, I = 62; 60.71 deg, 1.525 Å, I = 22

Cell and atoms:
Cell lengths 15.457, 5.276, 5.562 Å; angles 90.00, 99.29, 90.00 degrees
Space group C2/c (No. 15)
One atom of each set of equivalent atoms:
Al 0.000 0.026 0.250
Fe 0.060 0.487 0.656
Fe 0.148 0.229 0.957
Fe 0.151 0.234 0.453
Co 0.244 0.499 0.748


Starting from the PBE geometry in Alexandria, the powder diffraction line list of AlFe14Co was computed for Cu Ka.
No peak broadening, texture or thermal motion is included.

Most intense lines, 2θ from 5° to 70°, by angle:
10.97 deg, 8.063 Å, I = 1; 19.02 deg, 4.665 Å, I = 1; 22.02 deg, 4.036 Å, I = 1; 44.92 deg, 2.018 Å, I = 100; 65.23 deg, 1.430 Å, I = 5; 65.50 deg, 1.425 Å, I = 10

Cell and atoms:
Cell lengths 5.721, 8.059, 8.063 Å; angles 90.00, 90.00, 90.00 degrees
Space group Cmmm (No. 65)
One atom of each set of equivalent atoms:
Al 0.000 0.000 0.000
Fe 0.000 0.000 0.500
Fe 0.000 0.247 0.248
Fe 0.000 0.500 0.500
Fe 0.245 0.500 0.253
Fe 0.250 0.250 0.000
Fe 0.250 0.250 0.500
Co 0.000 0.500 0.000


Starting from the PBE geometry in Alexandria, the powder diffraction line list of AlFeCo2H was computed for Cu Ka.
No peak broadening, texture or thermal motion is included.

Most intense lines, 2θ from 5° to 70°, by angle:
24.18 deg, 3.681 Å, I = 6; 25.08 deg, 3.550 Å, I = 4; 34.45 deg, 2.603 Å, I = 3; 35.12 deg, 2.555 Å, I = 4; 43.09 deg, 2.099 Å, I = 100; 49.52 deg, 1.841 Å, I = 33; 51.48 deg, 1.775 Å, I = 15; 55.84 deg, 1.646 Å, I = 1; 56.30 deg, 1.634 Å, I = 1; 62.15 deg, 1.494 Å, I = 1

Cell and atoms:
Cell lengths 3.681, 3.681, 3.550 Å; angles 90.00, 90.00, 90.00 degrees
Space group P4/mmm (No. 123)
One atom of each set of equivalent atoms:
Al 0.000 0.000 0.000
Fe 0.500 0.500 0.000
Co 0.000 0.500 0.500
H 0.500 0.500 0.500


Starting from the PBE geometry in Alexandria, the powder diffraction line list of Ho3Al3Ga2Co was computed for Cu Ka.
No peak broadening, texture or thermal motion is included.

Most intense lines, 2θ from 5° to 70°, by angle:
20.89 deg, 4.253 Å, I = 25; 25.89 deg, 3.441 Å, I = 36; 29.99 deg, 2.980 Å, I = 18; 33.50 deg, 2.675 Å, I = 100; 36.83 deg, 2.440 Å, I = 68; 40.03 deg, 2.253 Å, I = 23; 42.51 deg, 2.126 Å, I = 24; 45.62 deg, 1.988 Å, I = 35; 55.60 deg, 1.653 Å, I = 18; 60.05 deg, 1.541 Å, I = 26

Cell and atoms:
Cell lengths 6.8816, 6.8816, 4.2529 Å; angles 90.00, 90.00, 120.00 degrees
Space group P-62m (No. 189)
One atom of each set of equivalent atoms:
Ho 0.0000 0.5953 0.0000
Al 0.0000 0.2279 0.5000
Ga 0.3333 0.6667 0.5000
Co 0.0000 0.0000 0.0000